Record 1
Simulated PXRD pattern
Compound: Te4Pb5
Radiation: CuKα
Structure: a DFT-relaxed cell (PBE, Alexandria)
Lines closer than 0.1° are merged.

Peak list (10 most intense, 2θ = 10–90°, by intensity)
2θ/deg, I_rel
32.08, 100
31.13, 89
30.48, 44
45.31, 32
64.08, 23
55.99, 22
61.46, 13
47.95, 12
49.28, 12
40.02, 10

Cell: 9.9528 9.9528 6.7383 Å, 90.00 90.00 120.00°
Fractional coordinates of all 18 atoms:
Te (0.0000, 0.0000, 0.0000)
Te (0.0000, 0.0000, 0.5000)
Te (0.0000, 0.3759, 0.2500)
Te (0.0000, 0.6241, 0.7500)
Te (0.3759, 0.0000, 0.2500)
Te (0.3759, 0.3759, 0.7500)
Te (0.6241, 0.0000, 0.7500)
Te (0.6241, 0.6241, 0.2500)
Pb (0.0000, 0.2797, 0.7500)
Pb (0.0000, 0.7203, 0.2500)
Pb (0.2797, 0.0000, 0.7500)
Pb (0.2797, 0.2797, 0.2500)
Pb (0.3333, 0.6667, 0.0000)
Pb (0.3333, 0.6667, 0.5000)
Pb (0.6667, 0.3333, 0.0000)
Pb (0.6667, 0.3333, 0.5000)
Pb (0.7203, 0.0000, 0.2500)
Pb (0.7203, 0.7203, 0.7500)

=====

Record 2
Simulated PXRD pattern
Compound: Te2Pb
Radiation: CuKα
Structure: a DFT-relaxed cell (PBE, Alexandria)
Lines closer than 0.1° are merged.

Peak list (10 most intense, 2θ = 10–90°, by intensity)
2θ/deg, I_rel
31.10, 100
22.56, 95
30.23, 62
30.72, 58
41.06, 50
32.41, 37
38.87, 34
50.34, 29
47.32, 26
51.49, 22

Cell: 11.1657 4.6336 8.8630 Å, 90.00 99.85 90.00°
Fractional coordinates of all 12 atoms:
Te (0.0000, 0.0000, 0.0000)
Te (0.0623, 0.0000, 0.3211)
Te (0.2452, 0.5000, 0.0078)
Te (0.3855, 0.0000, 0.6461)
Te (0.5000, 0.5000, 0.0000)
Te (0.5623, 0.5000, 0.3211)
Te (0.7452, 0.0000, 0.0078)
Te (0.8855, 0.5000, 0.6461)
Pb (0.1991, 0.5000, 0.6497)
Pb (0.3548, 0.0000, 0.2885)
Pb (0.6991, 0.0000, 0.6497)
Pb (0.8548, 0.5000, 0.2885)

=====

Record 3
Simulated PXRD pattern
Compound: TePb3
Radiation: CuKα
Structure: a DFT-relaxed cell (PBE, Alexandria)
Lines closer than 0.1° are merged.

Peak list (10 most intense, 2θ = 10–90°, by intensity)
2θ/deg, I_rel
32.87, 100
28.46, 25
61.30, 22
32.56, 22
50.39, 21
58.30, 18
61.49, 17
83.40, 15
43.78, 15
80.62, 7

Cell: 3.6217 3.6217 10.9985 Å, 90.00 90.00 120.00°
Fractional coordinates of all 4 atoms:
Te (0.0000, 0.0000, 0.0000)
Pb (0.0000, 0.0000, 0.5000)
Pb (0.3333, 0.6667, 0.2379)
Pb (0.3333, 0.6667, 0.7621)

=====

Record 4
Simulated PXRD pattern
Compound: Te3Pb
Radiation: CuKα
Structure: a DFT-relaxed cell (PBE, Alexandria)
Lines closer than 0.1° are merged.

Peak list (10 most intense, 2θ = 10–90°, by intensity)
2θ/deg, I_rel
32.18, 100
30.08, 39
20.98, 39
38.55, 32
23.83, 25
59.43, 18
48.21, 18
53.82, 14
66.94, 13
43.38, 13

Cell: 4.1573 4.1717 8.4678 Å, 90.00 90.00 90.00°
Fractional coordinates of all 4 atoms:
Te (0.0000, 0.0000, 0.0000)
Te (0.0000, 0.5000, 0.4103)
Te (0.5000, 0.5000, 0.9067)
Pb (0.5000, 0.0000, 0.5594)

=====

Record 5
Simulated PXRD pattern
Compound: Te2Pb3
Radiation: CuKα
Structure: a DFT-relaxed cell (PBE, Alexandria)
Lines closer than 0.1° are merged.

Peak list (10 most intense, 2θ = 10–90°, by intensity)
2θ/deg, I_rel
31.70, 100
32.88, 73
22.68, 41
57.22, 31
46.32, 29
42.24, 22
56.47, 22
65.86, 18
66.22, 15
75.94, 14

Cell: 5.6448 5.6448 6.5605 Å, 90.00 90.00 120.00°
Fractional coordinates of all 5 atoms:
Te (0.3333, 0.6667, 0.2707)
Te (0.6667, 0.3333, 0.7293)
Pb (0.0000, 0.0000, 0.5000)
Pb (0.3333, 0.6667, 0.7771)
Pb (0.6667, 0.3333, 0.2229)

=====

Record 6
Simulated PXRD pattern
Compound: TePb2
Radiation: CuKα
Structure: a DFT-relaxed cell (PBE, Alexandria)
Lines closer than 0.1° are merged.

Peak list (10 most intense, 2θ = 10–90°, by intensity)
2θ/deg, I_rel
31.24, 100
34.04, 72
21.63, 48
28.46, 47
43.38, 38
56.26, 35
40.42, 31
63.18, 23
60.78, 19
72.03, 19

Cell: 4.1716 4.1716 23.7715 Å, 90.00 90.00 90.00°
Fractional coordinates of all 12 atoms:
Te (0.0000, 0.2500, 0.3750)
Te (0.0000, 0.7500, 0.6250)
Te (0.5000, 0.2500, 0.1250)
Te (0.5000, 0.7500, 0.8750)
Pb (0.0000, 0.2500, 0.8073)
Pb (0.0000, 0.2500, 0.9427)
Pb (0.0000, 0.7500, 0.0573)
Pb (0.0000, 0.7500, 0.1927)
Pb (0.5000, 0.2500, 0.5573)
Pb (0.5000, 0.2500, 0.6927)
Pb (0.5000, 0.7500, 0.3073)
Pb (0.5000, 0.7500, 0.4427)

=====

Record 7
Simulated PXRD pattern
Compound: Te3Pb
Radiation: CuKα
Structure: a DFT-relaxed cell (PBE, Alexandria)
Lines closer than 0.1° are merged.

Peak list (10 most intense, 2θ = 10–90°, by intensity)
2θ/deg, I_rel
27.64, 100
39.21, 79
27.25, 52
48.65, 43
39.49, 39
71.44, 27
63.78, 19
64.38, 18
64.58, 18
70.87, 14

Cell: 4.5635 4.5635 6.5451 Å, 90.00 90.00 90.00°
Fractional coordinates of all 4 atoms:
Te (0.0000, 0.0000, 0.0000)
Te (0.0000, 0.0000, 0.5000)
Te (0.5000, 0.5000, 0.0000)
Pb (0.5000, 0.5000, 0.5000)

=====

Record 8
Simulated PXRD pattern
Compound: Te2Pb
Radiation: CuKα
Structure: a DFT-relaxed cell (PBE, Alexandria)
Lines closer than 0.1° are merged.

Peak list (10 most intense, 2θ = 10–90°, by intensity)
2θ/deg, I_rel
23.24, 100
36.12, 60
32.44, 42
26.57, 33
22.31, 32
25.82, 30
37.02, 30
38.63, 29
45.22, 26
59.81, 23

Cell: 6.2155 7.9696 4.8569 Å, 90.00 90.00 90.00°
Fractional coordinates of all 6 atoms:
Te (0.1714, 0.1117, 0.0000)
Te (0.3286, 0.6117, 0.5000)
Te (0.6714, 0.3883, 0.5000)
Te (0.8286, 0.8883, 0.0000)
Pb (0.0000, 0.5000, 0.0000)
Pb (0.5000, 0.0000, 0.5000)

=====

Record 9
Simulated PXRD pattern
Compound: TePb
Radiation: CuKα
Structure: a DFT-relaxed cell (PBE, Alexandria)
Lines closer than 0.1° are merged.

Peak list (10 most intense, 2θ = 10–90°, by intensity)
2θ/deg, I_rel
27.21, 100
38.86, 79
63.47, 38
48.08, 29
70.36, 28
89.76, 20
56.12, 14
23.51, 11
83.41, 9
45.92, 6

Cell: 6.5550 6.5550 6.5550 Å, 90.00 90.00 90.00°
Fractional coordinates of all 8 atoms:
Te (0.0000, 0.0000, 0.0000)
Te (0.0000, 0.5000, 0.5000)
Te (0.5000, 0.0000, 0.5000)
Te (0.5000, 0.5000, 0.0000)
Pb (0.0000, 0.0000, 0.5000)
Pb (0.0000, 0.5000, 0.0000)
Pb (0.5000, 0.0000, 0.0000)
Pb (0.5000, 0.5000, 0.5000)

=====

Record 10
Simulated PXRD pattern
Compound: Te3Pb
Radiation: CuKα
Structure: a DFT-relaxed cell (PBE, Alexandria)
Lines closer than 0.1° are merged.

Peak list (10 most intense, 2θ = 10–90°, by intensity)
2θ/deg, I_rel
27.48, 100
39.19, 39
39.32, 39
48.64, 21
71.23, 20
64.07, 18
64.26, 18
56.73, 13
19.34, 8
48.42, 7

Cell: 9.1649 9.1649 5.6397 Å, 90.00 90.00 120.00°
Fractional coordinates of all 12 atoms:
Te (0.0000, 0.5000, 0.0000)
Te (0.1667, 0.3333, 0.3333)
Te (0.1667, 0.8333, 0.3333)
Te (0.3333, 0.1667, 0.6667)
Te (0.5000, 0.0000, 0.0000)
Te (0.5000, 0.5000, 0.0000)
Te (0.6667, 0.8333, 0.3333)
Te (0.8333, 0.1667, 0.6667)
Te (0.8333, 0.6667, 0.6667)
Pb (0.0000, 0.0000, 0.0000)
Pb (0.3333, 0.6667, 0.6667)
Pb (0.6667, 0.3333, 0.3333)

=====

Record 11
Simulated PXRD pattern
Compound: TePb3
Radiation: CuKα
Structure: a DFT-relaxed cell (PBE, Alexandria)
Lines closer than 0.1° are merged.

Peak list (10 most intense, 2θ = 10–90°, by intensity)
2θ/deg, I_rel
33.13, 100
29.73, 66
54.96, 49
42.54, 26
61.22, 17
87.27, 14
70.01, 12
69.52, 12
71.88, 11
61.74, 9

Cell: 4.2498 4.2498 7.0107 Å, 90.00 90.00 90.00°
Fractional coordinates of all 4 atoms:
Te (0.0000, 0.0000, 0.0000)
Pb (0.0000, 0.0000, 0.5000)
Pb (0.5000, 0.5000, 0.2409)
Pb (0.5000, 0.5000, 0.7591)

=====

Record 12
Simulated PXRD pattern
Compound: Te5Pb3
Radiation: CuKα
Structure: a DFT-relaxed cell (PBE, Alexandria)
Lines closer than 0.1° are merged.

Peak list (10 most intense, 2θ = 10–90°, by intensity)
2θ/deg, I_rel
29.42, 100
29.14, 79
28.04, 45
25.45, 37
33.04, 33
25.90, 28
36.50, 24
29.57, 23
28.86, 23
32.23, 22

Cell: 6.2561 9.6899 10.0674 Å, 90.21 99.94 98.85°
Fractional coordinates of all 16 atoms:
Te (0.0000, 0.0000, 0.0000)
Te (0.0330, 0.3721, 0.4262)
Te (0.1404, 0.5813, 0.0538)
Te (0.3404, 0.8030, 0.6992)
Te (0.3904, 0.4332, 0.8178)
Te (0.5423, 0.9994, 0.3370)
Te (0.6373, 0.2356, 0.9482)
Te (0.7006, 0.4310, 0.5829)
Te (0.7572, 0.6417, 0.1483)
Te (0.9047, 0.9089, 0.5132)
Pb (0.1756, 0.6990, 0.3726)
Pb (0.3624, 0.1090, 0.5778)
Pb (0.4522, 0.8953, 0.0106)
Pb (0.5851, 0.3428, 0.2465)
Pb (0.8779, 0.7351, 0.8018)
Pb (0.9650, 0.2035, 0.7554)